For K2BiBS4, DFT lattice parameters and positions (PBE) gives the simulated PXRD pattern in this record (Cu Kα X-rays).
No peak broadening, texture or thermal motion is included.

The 10 most intense peaks (2θ from 10° to 90°), sorted by position:
d_spacing	2θ/deg	intensity
7.451	11.88	100
6.959	12.72	48
4.106	21.64	25
3.726	23.88	36
3.481	25.59	71
3.156	28.28	36
2.875	31.11	16
2.820	31.73	15
2.613	34.31	25
2.338	38.51	29

Cell and atoms:
Cell lengths 8.972, 8.972, 8.103 Å; angles 113.32, 113.32, 101.72 degrees
Atoms (fractional coordinates):
K 0.000 0.000 0.000
K 0.000 0.000 0.500
K 0.000 0.500 0.000
K 0.500 0.000 0.500
Bi 0.500 0.500 0.000
Bi 0.500 0.500 0.500
B 0.000 0.500 0.500
B 0.500 0.000 0.000
S 0.136 0.630 0.468
S 0.259 0.320 0.058
S 0.320 0.259 0.558
S 0.370 0.864 0.032
S 0.630 0.136 0.968
S 0.680 0.741 0.442
S 0.741 0.680 0.942
S 0.864 0.370 0.532